The following is a computed powder X-ray diffraction pattern of Pm6Nd2Y3Ho. It was derived from a crystal structure in Alexandria, relaxed with GGA-PBE, using Cu Kα (λ = 1.5418 Å).
Peak positions follow from Bragg's law for the DFT cell and can differ from measured ones.

Main lines, by angle (2θ = 10–90°):
2θ/deg  I (rel.)
30.17  100
30.30  33
35.01  67
50.26  24
50.44  24
59.80  43
59.98  14
62.72  12
81.77  12
84.67  11

Atomic structure:
Cell: 6.288 10.891 11.984 Å, 90.00 100.06 90.00°
Space group C2/m (No. 12)
Unique sites:
1 Pm 0.248 0.000 0.248 x4
2 Pm 0.250 0.166 0.752 x8
3 Nd 0.000 0.333 0.500 x4
4 Y 0.000 0.166 0.000 x4
5 Y 0.000 0.500 0.000 x2
6 Ho 0.000 0.000 0.500 x2

The following is a computed powder X-ray diffraction pattern of PmNd2Y2Ho. It was derived from a crystal structure in Alexandria, relaxed with GGA-PBE, using Cu Kα (λ = 1.5418 Å).
Peak positions follow from Bragg's law for the DFT cell and can differ from measured ones.

Main lines, by angle (2θ = 10–90°):
2θ/deg  I (rel.)
26.63  28
28.47  100
29.42  31
29.67  71
30.13  54
31.08  46
33.35  53
35.63  39
40.67  51
62.00  25

Atomic structure:
Cell: 6.686 18.068 3.408 Å, 90.00 90.00 90.00°
Space group Pnnm (No. 58)
Unique sites:
1 Pm 0.000 0.000 0.000 x2
2 Nd 0.232 0.317 0.000 x4
3 Y 0.229 0.148 0.500 x4
4 Ho 0.000 0.500 0.000 x2

The following is a computed powder X-ray diffraction pattern of Pr2NdHo9. It was derived from a crystal structure in Alexandria, relaxed with GGA-PBE, using Cu Kα (λ = 1.5418 Å).
Peak positions follow from Bragg's law for the DFT cell and can differ from measured ones.

Main lines, by angle (2θ = 10–90°):
2θ/deg  I (rel.)
29.93  23
31.33  56
31.68  100
35.22  17
37.62  13
45.15  20
56.20  20
56.42  18
62.20  30
80.30  14

Atomic structure:
Cell: 11.2990 11.2990 3.5161 Å, 90.00 90.00 120.00°
Space group P6/mmm (No. 191)
Unique sites:
1 Pr 0.3333 0.6667 0.0000 x2
2 Nd 0.0000 0.0000 0.0000 x1
3 Ho 0.0000 0.5000 0.0000 x3
4 Ho 0.1750 0.3500 0.5000 x6

The following is a computed powder X-ray diffraction pattern of Pr3Nd2Ho4. It was derived from a crystal structure in Alexandria, relaxed with GGA-PBE, using Cu Kα (λ = 1.5418 Å).
Peak positions follow from Bragg's law for the DFT cell and can differ from measured ones.

Main lines, by angle (2θ = 10–90°):
2θ/deg  I (rel.)
30.22  100
35.04  51
50.39  36
59.88  32
59.94  11
62.85  12
81.97  10
82.05  7
84.57  8
84.67  8

Atomic structure:
Cell: 6.271 6.274 8.095 Å, 75.12 82.58 80.47°
Space group P-1 (No. 2)
Unique sites:
1 Pr 0.000 0.000 0.000 x1
2 Pr 0.111 0.558 0.777 x2
3 Nd 0.333 0.668 0.333 x2
4 Ho 0.226 0.110 0.553 x2
5 Ho 0.447 0.222 0.112 x2